# Pr3Dy7Y
Simulated powder diffractogram, Cu Ka. Input: a crystal structure in Alexandria, relaxed with GGA-PBE.

Cell: 7.0147 5.5580 10.0666 Å, 90.00 109.72 90.00°
Fractional positions:
Pr 0.0000 0.0000 0.0000
Pr 0.2812 0.5000 0.4973
Pr 0.7188 0.5000 0.5027
Dy 0.0000 0.0000 0.5000
Dy 0.1467 0.5000 0.7893
Dy 0.3222 0.5000 0.1370
Dy 0.4213 0.0000 0.3294
Dy 0.5787 0.0000 0.6706
Dy 0.6778 0.5000 0.8630
Dy 0.8533 0.5000 0.2107
Y 0.5000 0.0000 0.0000

Most intense lines, 10° ≤ 2θ ≤ 90°, by intensity:
two_theta	d_spacing	Rel. int.
31.5	2.838	100
32.2	2.779	80
32.6	2.746	78
31.7	2.823	71
31.2	2.870	47
31.4	2.849	41
57.7	1.598	23
57.0	1.616	22
31.9	2.803	22
25.4	3.507	21